# MnVBiO5
Simulated powder diffractogram, λ = 1.5418 Å (Cu Kα). Input: DFT lattice parameters and positions (PBE+U).

Peak list (6 most intense, 10° ≤ 2θ ≤ 90°, in order of rising 2θ)
17.1°, I 100; 17.9°, I 49; 27.9°, I 75; 30.5°, I 72; 32.7°, I 71; 51.0°, I 45

Crystal structure
```
MnVBiO5
1.0
3.545 -4.951 0.000
3.545 4.951 0.000
-3.121 0.000 6.587
Mn V Bi O
2 2 2 10
direct
0.000 0.000 0.000 Mn
0.000 0.000 0.500 Mn
0.327 0.673 0.750 V
0.673 0.327 0.250 V
0.293 0.707 0.250 Bi
0.707 0.293 0.750 Bi
0.086 0.914 0.250 O
0.111 0.657 0.884 O
0.246 0.388 0.577 O
0.343 0.889 0.616 O
0.388 0.246 0.077 O
0.612 0.754 0.923 O
0.657 0.111 0.384 O
0.754 0.612 0.423 O
0.889 0.343 0.116 O
0.914 0.086 0.750 O
```